No. 1
Sr2OsO6: theoretical powder diffraction line list (Cu Kα), based on a crystal structure in OQMD, relaxed with GGA-PBE.
No peak broadening, texture or thermal motion is included.

Crystal structure
Cell: 5.2087 5.2087 10.3752 Å, 90.00 90.00 90.00°
Element x y z (fractional)
1 Sr 0.0000 0.0000 0.1681
2 Sr 0.0000 0.0000 0.8319
3 Sr 0.5000 0.5000 0.3319
4 Sr 0.5000 0.5000 0.6681
5 Os 0.0000 0.0000 0.5000
6 Os 0.5000 0.5000 0.0000
7 O 0.1764 0.1764 0.3697
8 O 0.1764 0.1764 0.6303
9 O 0.2478 0.2478 0.0000
10 O 0.2522 0.7478 0.5000
11 O 0.3236 0.6764 0.1303
12 O 0.3236 0.6764 0.8697
13 O 0.6764 0.3236 0.1303
14 O 0.6764 0.3236 0.8697
15 O 0.7478 0.2522 0.5000
16 O 0.7522 0.7522 0.0000
17 O 0.8236 0.8236 0.3697
18 O 0.8236 0.8236 0.6303

Peak list (10 most intense, 2θ = 5–70°, sorted by position)
2θ 17.09, I = 12; 2θ 19.07, I = 35; 2θ 24.16, I = 100; 2θ 31.04, I = 86; 2θ 34.44, I = 24; 2θ 47.03, I = 67; 2θ 49.50, I = 17; 2θ 55.81, I = 16; 2θ 59.01, I = 16; 2θ 59.59, I = 21

***

No. 2
Sr4Os4O11: theoretical powder diffraction line list (Cu Kα), based on a crystal structure in OQMD, relaxed with GGA-PBE.
No peak broadening, texture or thermal motion is included.

Crystal structure
Cell: 5.5051 5.5543 7.8509 Å, 90.11 90.94 90.54°
Element x y z (fractional)
1 Sr 0.0000 0.0000 0.0000
2 Sr 0.0293 0.0043 0.4863
3 Sr 0.5237 0.4766 0.9974
4 Sr 0.5553 0.4765 0.4818
5 Os 0.0291 0.4964 0.7398
6 Os 0.0545 0.5183 0.2393
7 Os 0.4993 0.9637 0.2394
8 Os 0.5197 0.9861 0.7396
9 O 0.0326 0.5473 0.4900
10 O 0.0427 0.4535 0.9903
11 O 0.2274 0.7876 0.7695
12 O 0.2789 0.2432 0.2602
13 O 0.3173 0.2826 0.7026
14 O 0.5082 0.0293 0.9898
15 O 0.5194 0.9300 0.4909
16 O 0.7321 0.6984 0.7765
17 O 0.7695 0.7315 0.2181
18 O 0.7797 0.2244 0.2610
19 O 0.8151 0.2010 0.7207

Peak list (10 most intense, 2θ = 5–70°, sorted by position)
2θ 22.65, I = 45; 2θ 22.85, I = 23; 2θ 32.07, I = 49; 2θ 32.21, I = 100; 2θ 32.41, I = 50; 2θ 32.58, I = 100; 2θ 46.24, I = 54; 2θ 46.69, I = 23; 2θ 57.44, I = 30; 2θ 58.15, I = 19

***

No. 3
Sr4Os4O11: theoretical powder diffraction line list (Cu Kα), based on a crystal structure in OQMD, relaxed with GGA-PBE.
No peak broadening, texture or thermal motion is included.

Crystal structure
Cell: 5.5583 7.8143 5.5708 Å, 90.00 90.03 90.00°
Element x y z (fractional)
1 Sr 0.0000 0.0000 0.0000
2 Sr 0.0419 0.5000 0.0072
3 Sr 0.4925 0.0000 0.4952
4 Sr 0.5439 0.5000 0.5047
5 Os 0.0218 0.2720 0.4983
6 Os 0.0218 0.7280 0.4983
7 Os 0.5217 0.2536 0.9978
8 Os 0.5217 0.7464 0.9978
9 O 0.0295 0.0000 0.5569
10 O 0.2360 0.2299 0.2168
11 O 0.2360 0.7701 0.2168
12 O 0.3001 0.2847 0.7170
13 O 0.3001 0.7153 0.7170
14 O 0.5175 0.5000 0.0630
15 O 0.5260 0.0000 0.9446
16 O 0.7406 0.2298 0.2834
17 O 0.7406 0.7702 0.2834
18 O 0.8037 0.2862 0.7784
19 O 0.8037 0.7138 0.7784

Peak list (10 most intense, 2θ = 5–70°, sorted by position)
2θ 22.60, I = 22; 2θ 22.76, I = 12; 2θ 32.17, I = 49; 2θ 32.29, I = 100; 2θ 46.14, I = 26; 2θ 46.48, I = 12; 2θ 57.41, I = 31; 2θ 57.49, I = 10; 2θ 57.66, I = 18; 2θ 67.58, I = 14

***

No. 4
Sr2Os2O7: theoretical powder diffraction line list (Cu Kα), based on a crystal structure in OQMD, relaxed with GGA-PBE.
No peak broadening, texture or thermal motion is included.

Crystal structure
Cell: 7.3845 7.3845 7.3845 Å, 120.39 91.62 117.77°
Element x y z (fractional)
1 Sr 0.0000 0.0000 0.0000
2 Sr 0.5000 0.0000 0.0000
3 Sr 0.5000 0.0000 0.5000
4 Sr 0.5000 0.5000 0.5000
5 Os 0.0000 0.0000 0.5000
6 Os 0.0000 0.5000 0.0000
7 Os 0.0000 0.5000 0.5000
8 Os 0.5000 0.5000 0.0000
9 O 0.0453 0.2319 0.4214
10 O 0.0453 0.6240 0.8134
11 O 0.0903 0.8403 0.2500
12 O 0.3105 0.2319 0.6866
13 O 0.3105 0.6240 0.0786
14 O 0.3152 0.7217 0.5935
15 O 0.3718 0.2783 0.0935
16 O 0.6282 0.7217 0.9065
17 O 0.6848 0.2783 0.4065
18 O 0.6895 0.3760 0.9214
19 O 0.6895 0.7681 0.3134
20 O 0.9097 0.1597 0.7500
21 O 0.9547 0.3760 0.1866
22 O 0.9547 0.7681 0.5786

Peak list (10 most intense, 2θ = 5–70°, sorted by position)
2θ 14.45, I = 22; 2θ 16.76, I = 17; 2θ 29.13, I = 100; 2θ 29.90, I = 91; 2θ 33.89, I = 51; 2θ 34.86, I = 24; 2θ 49.40, I = 54; 2θ 57.29, I = 32; 2θ 58.63, I = 28; 2θ 59.03, I = 15

***

No. 5
Sr5Os3O13: theoretical powder diffraction line list (Cu Kα), based on a crystal structure in OQMD, relaxed with GGA-PBE.
No peak broadening, texture or thermal motion is included.

Crystal structure
Cell: 7.0465 14.1752 5.5229 Å, 90.00 90.00 90.00°
Element x y z (fractional)
1 Sr 0.0000 0.0000 0.0000
2 Sr 0.1762 0.2765 0.0000
3 Sr 0.1759 0.6299 0.5000
4 Sr 0.3241 0.1299 0.5000
5 Sr 0.3238 0.7765 0.0000
6 Sr 0.5000 0.5000 0.0000
7 Sr 0.6762 0.2235 0.0000
8 Sr 0.6759 0.8701 0.5000
9 Sr 0.8241 0.3701 0.5000
10 Sr 0.8238 0.7235 0.0000
11 Os 0.0000 0.5000 0.0000
12 Os 0.1639 0.8942 0.5000
13 Os 0.3361 0.3942 0.5000
14 Os 0.5000 0.0000 0.0000
15 Os 0.6639 0.6058 0.5000
16 Os 0.8361 0.1058 0.5000
17 O 0.0000 0.0000 0.5000
18 O 0.0209 0.8388 0.2462
19 O 0.0209 0.8388 0.7538
20 O 0.1215 0.6277 0.0000
21 O 0.1567 0.2956 0.5000
22 O 0.1807 0.4622 0.2484
23 O 0.1807 0.4622 0.7516
24 O 0.3193 0.9622 0.2484
25 O 0.3193 0.9622 0.7516
26 O 0.3433 0.7956 0.5000
27 O 0.3785 0.1277 0.0000
28 O 0.4791 0.3388 0.2462
29 O 0.4791 0.3388 0.7538
30 O 0.5000 0.5000 0.5000
31 O 0.5209 0.6612 0.2462
32 O 0.5209 0.6612 0.7538
33 O 0.6215 0.8723 0.0000
34 O 0.6567 0.2044 0.5000
35 O 0.6807 0.0378 0.2484
36 O 0.6807 0.0378 0.7516
37 O 0.8193 0.5378 0.2484
38 O 0.8193 0.5378 0.7516
39 O 0.8433 0.7044 0.5000
40 O 0.8785 0.3723 0.0000
41 O 0.9791 0.1612 0.2462
42 O 0.9791 0.1612 0.7538

Peak list (10 most intense, 2θ = 5–70°, sorted by position)
2θ 17.75, I = 26; 2θ 21.38, I = 35; 2θ 29.96, I = 100; 2θ 30.09, I = 27; 2θ 30.76, I = 39; 2θ 31.68, I = 33; 2θ 32.42, I = 51; 2θ 32.66, I = 44; 2θ 45.96, I = 29; 2θ 56.33, I = 28

***

No. 6
Sr2TbOsO6: theoretical powder diffraction line list (Cu Kα), based on a crystal structure in OQMD, relaxed with GGA-PBE.
No peak broadening, texture or thermal motion is included.

Crystal structure
Cell: 5.7757 5.8058 5.8197 Å, 90.33 119.27 119.80°
Element x y z (fractional)
1 Sr 0.0073 0.2490 0.2624
2 Sr 0.9927 0.7510 0.7376
3 Tb 0.5000 0.5000 0.0000
4 Os 0.5000 0.0000 0.5000
5 O 0.0292 0.8151 0.3012
6 O 0.4249 0.7743 0.1842
7 O 0.4775 0.7069 0.6765
8 O 0.5225 0.2931 0.3235
9 O 0.5751 0.2257 0.8158
10 O 0.9708 0.1849 0.6988

Peak list (10 most intense, 2θ = 5–70°, sorted by position)
2θ 21.54, I = 26; 2θ 21.69, I = 12; 2θ 30.50, I = 65; 2θ 30.77, I = 100; 2θ 30.97, I = 33; 2θ 43.89, I = 37; 2θ 44.20, I = 17; 2θ 54.62, I = 30; 2θ 54.98, I = 13; 2θ 64.15, I = 11

***

No. 7
TlOsO3: theoretical powder diffraction line list (Cu Kα), based on a crystal structure in OQMD, relaxed with GGA-PBE.
No peak broadening, texture or thermal motion is included.

Crystal structure
Cell: 5.3694 5.3694 13.2104 Å, 90.00 90.00 120.00°
Element x y z (fractional)
1 Tl 0.3333 0.6667 0.0598
2 Tl 0.3333 0.6667 0.4402
3 Tl 0.6667 0.3333 0.5598
4 Tl 0.6667 0.3333 0.9402
5 Os 0.0000 0.0000 0.2500
6 Os 0.0000 0.0000 0.7500
7 Os 0.3333 0.6667 0.7500
8 Os 0.6667 0.3333 0.2500
9 O 0.0508 0.3332 0.6716
10 O 0.0508 0.7176 0.8284
11 O 0.2824 0.3332 0.8284
12 O 0.2824 0.9492 0.6716
13 O 0.3332 0.0508 0.1716
14 O 0.3332 0.2824 0.3284
15 O 0.6668 0.7176 0.6716
16 O 0.6668 0.9492 0.8284
17 O 0.7176 0.0508 0.3284
18 O 0.7176 0.6668 0.1716
19 O 0.9492 0.2824 0.1716
20 O 0.9492 0.6668 0.3284

Peak list (10 most intense, 2θ = 5–70°, sorted by position)
2θ 13.41, I = 9; 2θ 23.40, I = 41; 2θ 27.00, I = 10; 2θ 27.90, I = 100; 2θ 33.38, I = 74; 2θ 43.44, I = 24; 2θ 44.04, I = 29; 2θ 53.85, I = 32; 2θ 56.37, I = 29; 2θ 59.65, I = 19

***

No. 8
TlOsO3: theoretical powder diffraction line list (Cu Kα), based on a crystal structure in OQMD, relaxed with GGA-PBE.
No peak broadening, texture or thermal motion is included.

Crystal structure
Cell: 5.3907 5.3907 12.8786 Å, 90.00 90.00 120.00°
Element x y z (fractional)
1 Tl 0.3333 0.6667 0.0574
2 Tl 0.3333 0.6667 0.4426
3 Tl 0.6667 0.3333 0.5574
4 Tl 0.6667 0.3333 0.9426
5 Os 0.0000 0.0000 0.2500
6 Os 0.0000 0.0000 0.7500
7 Os 0.3333 0.6667 0.7500
8 Os 0.6667 0.3333 0.2500
9 O 0.0533 0.3331 0.6697
10 O 0.0533 0.7201 0.8303
11 O 0.2799 0.3331 0.8303
12 O 0.2799 0.9467 0.6697
13 O 0.3331 0.0533 0.3303
14 O 0.3331 0.2799 0.1697
15 O 0.6669 0.7201 0.6697
16 O 0.6669 0.9467 0.8303
17 O 0.7201 0.0533 0.1697
18 O 0.7201 0.6669 0.3303
19 O 0.9467 0.2799 0.3303
20 O 0.9467 0.6669 0.1697

Peak list (10 most intense, 2θ = 5–70°, sorted by position)
2θ 23.54, I = 44; 2θ 27.71, I = 11; 2θ 28.24, I = 100; 2θ 33.24, I = 79; 2θ 43.80, I = 28; 2θ 44.16, I = 30; 2θ 54.66, I = 30; 2θ 56.38, I = 30; 2θ 59.39, I = 20; 2θ 69.79, I = 10